Rb2MnPbS4: computed X-ray diffraction stick pattern (Cu Kα (λ = 1.5418 Å)), based on a crystal structure in Alexandria, relaxed with PBE.
Lines closer than 0.1° are merged.

Largest 10 diffraction maxima, in order of rising 2θ, 10 to 90 degrees two-theta:
| d/Å | I_rel |
| --- | --- |
| 5.974 | 88 |
| 5.865 | 66 |
| 5.652 | 100 |
| 3.750 | 51 |
| 3.588 | 60 |
| 3.384 | 100 |
| 3.025 | 78 |
| 2.891 | 85 |
| 2.599 | 81 |
| 2.019 | 50 |

Unit cell a=13.562 b=12.432 c=7.275 alpha=82.52 beta=65.35 gamma=32.13
Positions (direct):
Rb: 0.056 0.056 0.694
Rb: 0.306 0.306 0.944
Rb: 0.694 0.694 0.056
Rb: 0.944 0.944 0.306
Mn: 0.375 0.375 0.375
Mn: 0.625 0.625 0.625
Pb: 0.125 0.125 0.125
Pb: 0.875 0.875 0.875
S: 0.029 0.606 0.554
S: 0.311 0.554 0.606
S: 0.394 0.971 0.689
S: 0.446 0.689 0.971
S: 0.554 0.311 0.029
S: 0.606 0.029 0.311
S: 0.689 0.446 0.394
S: 0.971 0.394 0.446